Record 1
The following is a simulated powder diffraction line list of YHo2Fe6Co2Ni. It was derived from a crystal structure in OQMD, relaxed with GGA-PBE, using λ = 1.5418 Å (Cu Kα).

Crystal structure
```
data_YHo2Fe6Co2Ni
_chemical_formula_sum 'Y3 Ho6 Fe18 Co6 Ni3'
_cell_length_a 4.9933
_cell_length_b 4.9933
_cell_length_c 24.5476
_cell_angle_alpha 90.00
_cell_angle_beta 90.00
_cell_angle_gamma 120.00
_symmetry_space_group_name_H-M 'R -3 m'
_symmetry_Int_Tables_number 166
_symmetry_space_group_name_Hall '-R 3 2"'
loop_
_atom_site_label
_atom_site_fract_x
_atom_site_fract_y
_atom_site_fract_z
Y1 0.0000 0.0000 0.0000
Ho1 0.0000 0.0000 0.1419
Fe1 0.0020 0.5010 0.9186
Co1 0.0000 0.0000 0.3329
Ni1 0.0000 0.0000 0.5000
```

Peak list (8 most intense, 2θ from 10° to 80°, by angle)
- 2θ 32.9, d = 2.724 Å, rel. 42.6, (1 0 7)
- 2θ 35.9, d = 2.499 Å, rel. 80.8, (1 1 0)
- 2θ 41.9, d = 2.154 Å, rel. 31.1, (0 2 1)
- 2θ 42.4, d = 2.131 Å, rel. 100.0, (1 1 6)
- 2θ 45.8, d = 1.983 Å, rel. 20.0, (0 1 11)
- 2θ 64.6, d = 1.442 Å, rel. 19.2, (3 0 0)
- 2θ 69.1, d = 1.360 Å, rel. 20.3, (3 0 6)
- 2θ 76.3, d = 1.248 Å, rel. 19.8, (2 2 0)

---

Record 2
The following is a simulated powder diffraction line list of RbTmZnSe3. It was derived from a crystal structure in OQMD, relaxed with GGA-PBE, using λ = 1.5418 Å (Cu Kα).

Crystal structure
```
data_RbTmZnSe3
_chemical_formula_sum 'Rb4 Tm4 Zn4 Se12'
_cell_length_a 18.217
_cell_length_b 4.199
_cell_length_c 8.968
_cell_angle_alpha 90.00
_cell_angle_beta 101.19
_cell_angle_gamma 90.00
_symmetry_space_group_name_H-M 'C 1 2/m 1'
_symmetry_Int_Tables_number 12
loop_
_symmetry_equiv_pos_as_xyz
'x,y,z'
'-x,-y,-z'
'-x,y,-z'
'x,-y,z'
'x+1/2,y+1/2,z'
'-x+1/2,-y+1/2,-z'
'-x+1/2,y+1/2,-z'
'x+1/2,-y+1/2,z'
loop_
_atom_site_label
_atom_site_fract_x
_atom_site_fract_y
_atom_site_fract_z
Rb1 0.146 0.000 0.066
Tm1 0.168 0.000 0.566
Zn1 0.024 0.500 0.732
Se1 0.000 0.000 0.500
Se2 0.000 0.500 0.000
Se3 0.160 0.500 0.774
Se4 0.174 0.500 0.361
```

Peak list (8 most intense, 2θ from 10° to 80°, by angle)
- 2θ 10.1, d = 8.798 Å, rel. 40.3, (0 0 1)
- 2θ 15.4, d = 5.737 Å, rel. 22.3, (2 0 1)
- 2θ 29.2, d = 3.063 Å, rel. 100.0, (1 1 -2)
- 2θ 30.0, d = 2.979 Å, rel. 58.4, (6 0 0)
- 2θ 36.9, d = 2.435 Å, rel. 24.0, (1 1 -3)
- 2θ 41.5, d = 2.175 Å, rel. 29.2, (5 1 2)
- 2θ 43.1, d = 2.099 Å, rel. 53.2, (0 2 0)
- 2θ 53.4, d = 1.716 Å, rel. 22.7, (6 2 0)

---

Record 3
The following is a simulated powder diffraction line list of CoBi2B. It was derived from a crystal structure in OQMD, relaxed with GGA-PBE, using λ = 1.5418 Å (Cu Kα).

Crystal structure
```
data_CoBi2B
_chemical_formula_sum 'Co4 Bi8 B4'
_cell_length_a 6.893
_cell_length_b 6.893
_cell_length_c 6.893
_cell_angle_alpha 90.00
_cell_angle_beta 90.00
_cell_angle_gamma 90.00
_symmetry_space_group_name_H-M 'F -4 3 m'
_symmetry_Int_Tables_number 216
_symmetry_space_group_name_Hall 'F -4 2 3'
loop_
_atom_site_label
_atom_site_fract_x
_atom_site_fract_y
_atom_site_fract_z
Co1 0.000 0.000 0.000
Bi1 0.000 0.000 0.500
Bi2 0.250 0.250 0.250
B1 0.250 0.250 0.750
```

Peak list (8 most intense, 2θ from 10° to 80°, by angle)
- 2θ 22.3, d = 3.980 Å, rel. 58.8, (1 1 1)
- 2θ 36.9, d = 2.437 Å, rel. 100.0, (2 2 0)
- 2θ 43.5, d = 2.078 Å, rel. 33.3, (3 1 1)
- 2θ 53.2, d = 1.723 Å, rel. 17.6, (4 0 0)
- 2θ 58.4, d = 1.581 Å, rel. 14.6, (3 3 1)
- 2θ 66.4, d = 1.407 Å, rel. 36.4, (4 2 2)
- 2θ 71.1, d = 1.327 Å, rel. 11.2, (5 1 1)
- 2θ 78.5, d = 1.218 Å, rel. 11.6, (4 4 0)

---

Record 4
The following is a simulated powder diffraction line list of Dy5Ho2Te2Pd2. It was derived from a crystal structure in OQMD, relaxed with GGA-PBE, using λ = 1.5418 Å (Cu Kα).

Crystal structure
```
data_Dy5Ho2Te2Pd2
_chemical_formula_sum 'Dy10 Ho4 Te4 Pd4'
_cell_length_a 3.940
_cell_length_b 15.787
_cell_length_c 9.616
_cell_angle_alpha 90.00
_cell_angle_beta 90.00
_cell_angle_gamma 90.00
_symmetry_space_group_name_H-M 'I m m 2'
_symmetry_Int_Tables_number 44
loop_
_symmetry_equiv_pos_as_xyz
'x,y,z'
'-x,-y,z'
'-x,y,z'
'x,-y,z'
'x+1/2,y+1/2,z+1/2'
'-x+1/2,-y+1/2,z+1/2'
'-x+1/2,y+1/2,z+1/2'
'x+1/2,-y+1/2,z+1/2'
loop_
_atom_site_label
_atom_site_fract_x
_atom_site_fract_y
_atom_site_fract_z
Dy1 0.000 0.000 0.000
Dy2 0.000 0.128 0.583
Dy3 0.000 0.356 0.736
Ho1 0.000 0.318 0.376
Te1 0.000 0.000 0.336
Te2 0.000 0.500 0.236
Pd1 0.000 0.238 0.071
```

Peak list (8 most intense, 2θ from 10° to 80°, by angle)
- 2θ 29.8, d = 2.995 Å, rel. 67.9, (1 1 2)
- 2θ 32.7, d = 2.738 Å, rel. 59.7, (0 3 3)
- 2θ 33.5, d = 2.678 Å, rel. 100.0, (1 4 1)
- 2θ 34.0, d = 2.636 Å, rel. 61.2, (0 6 0)
- 2θ 36.1, d = 2.486 Å, rel. 20.8, (1 0 3)
- 2θ 37.9, d = 2.372 Å, rel. 22.2, (1 2 3)
- 2θ 46.1, d = 1.971 Å, rel. 34.7, (2 0 0)
- 2θ 57.6, d = 1.599 Å, rel. 23.8, (2 3 3)

---

Record 5
The following is a simulated powder diffraction line list of DyErZn2Ga2. It was derived from a crystal structure in OQMD, relaxed with GGA-PBE, using λ = 1.5418 Å (Cu Kα).

Crystal structure
```
data_DyErZn2Ga2
_chemical_formula_sum 'Dy1 Er1 Zn2 Ga2'
_cell_length_a 4.3964
_cell_length_b 4.3964
_cell_length_c 7.1198
_cell_angle_alpha 90.00
_cell_angle_beta 90.00
_cell_angle_gamma 120.00
_symmetry_space_group_name_H-M 'P 3 m 1'
_symmetry_Int_Tables_number 156
loop_
_symmetry_equiv_pos_as_xyz
'x,y,z'
'-y,x-y,z'
'-x+y,-x,z'
'-y,-x,z'
'-x+y,y,z'
'x,x-y,z'
loop_
_atom_site_label
_atom_site_fract_x
_atom_site_fract_y
_atom_site_fract_z
Dy1 0.0000 0.0000 0.0000
Er1 0.0000 0.0000 0.4999
Zn1 0.3333 0.6667 0.2862
Zn2 0.6667 0.3333 0.7834
Ga1 0.3333 0.6667 0.7161
Ga2 0.6667 0.3333 0.2186
```

Peak list (8 most intense, 2θ from 10° to 80°, by angle)
- 2θ 23.4, d = 3.807 Å, rel. 20.6, (1 0 0)
- 2θ 34.5, d = 2.600 Å, rel. 100.0, (1 0 2)
- 2θ 41.1, d = 2.198 Å, rel. 55.8, (1 1 0)
- 2θ 51.3, d = 1.780 Å, rel. 6.8, (0 0 4)
- 2θ 54.7, d = 1.679 Å, rel. 26.6, (2 0 2)
- 2θ 67.7, d = 1.383 Å, rel. 17.6, (1 1 4)
- 2θ 70.6, d = 1.334 Å, rel. 27.1, (2 1 2)
- 2θ 74.8, d = 1.269 Å, rel. 9.2, (3 0 0)

---

Record 6
The following is a simulated powder diffraction line list of TmSiNiGe2. It was derived from a crystal structure in OQMD, relaxed with GGA-PBE, using λ = 1.5418 Å (Cu Kα).

Crystal structure
```
data_TmSiNiGe2
_chemical_formula_sum 'Tm4 Si4 Ni4 Ge8'
_cell_length_a 4.073
_cell_length_b 21.430
_cell_length_c 3.958
_cell_angle_alpha 90.00
_cell_angle_beta 90.00
_cell_angle_gamma 90.00
_symmetry_space_group_name_H-M 'C m m m'
_symmetry_Int_Tables_number 65
_symmetry_space_group_name_Hall '-C 2 2'
loop_
_atom_site_label
_atom_site_fract_x
_atom_site_fract_y
_atom_site_fract_z
Tm1 0.000 0.168 0.000
Si1 0.000 0.444 0.000
Ni1 0.000 0.390 0.500
Ge1 0.000 0.057 0.500
Ge2 0.000 0.283 0.500
```

Peak list (8 most intense, 2θ from 10° to 80°, by angle)
- 2θ 33.8, d = 2.652 Å, rel. 37.8, (0 6 1)
- 2θ 34.0, d = 2.638 Å, rel. 100.0, (1 3 1)
- 2θ 44.1, d = 2.056 Å, rel. 34.7, (1 9 0)
- 2θ 44.5, d = 2.037 Å, rel. 23.2, (2 0 0)
- 2θ 45.9, d = 1.979 Å, rel. 21.2, (0 0 2)
- 2θ 57.0, d = 1.615 Å, rel. 16.8, (2 6 1)
- 2θ 65.5, d = 1.426 Å, rel. 21.4, (1 9 2)
- 2θ 65.8, d = 1.419 Å, rel. 14.1, (2 0 2)

---

Repeat the fifth record exactly.
The following is a simulated powder diffraction line list of DyErZn2Ga2. It was derived from a crystal structure in OQMD, relaxed with GGA-PBE, using λ = 1.5418 Å (Cu Kα).

Crystal structure
```
data_DyErZn2Ga2
_chemical_formula_sum 'Dy1 Er1 Zn2 Ga2'
_cell_length_a 4.3964
_cell_length_b 4.3964
_cell_length_c 7.1198
_cell_angle_alpha 90.00
_cell_angle_beta 90.00
_cell_angle_gamma 120.00
_symmetry_space_group_name_H-M 'P 3 m 1'
_symmetry_Int_Tables_number 156
loop_
_symmetry_equiv_pos_as_xyz
'x,y,z'
'-y,x-y,z'
'-x+y,-x,z'
'-y,-x,z'
'-x+y,y,z'
'x,x-y,z'
loop_
_atom_site_label
_atom_site_fract_x
_atom_site_fract_y
_atom_site_fract_z
Dy1 0.0000 0.0000 0.0000
Er1 0.0000 0.0000 0.4999
Zn1 0.3333 0.6667 0.2862
Zn2 0.6667 0.3333 0.7834
Ga1 0.3333 0.6667 0.7161
Ga2 0.6667 0.3333 0.2186
```

Peak list (8 most intense, 2θ from 10° to 80°, by angle)
- 2θ 23.4, d = 3.807 Å, rel. 20.6, (1 0 0)
- 2θ 34.5, d = 2.600 Å, rel. 100.0, (1 0 2)
- 2θ 41.1, d = 2.198 Å, rel. 55.8, (1 1 0)
- 2θ 51.3, d = 1.780 Å, rel. 6.8, (0 0 4)
- 2θ 54.7, d = 1.679 Å, rel. 26.6, (2 0 2)
- 2θ 67.7, d = 1.383 Å, rel. 17.6, (1 1 4)
- 2θ 70.6, d = 1.334 Å, rel. 27.1, (2 1 2)
- 2θ 74.8, d = 1.269 Å, rel. 9.2, (3 0 0)